# 1
Theoretical X-ray diffraction stick pattern
Compound: AlPd2O4
Radiation: copper Kα
Structure: a crystal structure in OQMD, relaxed with PBE
Peak positions follow from Bragg's law for the DFT cell and can differ from measured ones.

Main lines, most intense first (2θ = 10–90°):
2.584 Å, intensity 100.0
4.949 Å, intensity 79.2
2.143 Å, intensity 56.0
1.515 Å, intensity 50.1
2.474 Å, intensity 40.6
1.650 Å, intensity 32.0
1.966 Å, intensity 23.2
1.116 Å, intensity 21.2

Structural model:
a = 6.061 Å, b = 6.061 Å, c = 6.061 Å
α = 60.00°, β = 60.00°, γ = 60.00°
Element x y z (fractional)
Al1 0.125 0.125 0.125
Al2 0.875 0.875 0.875
Pd1 0.000 0.500 0.500
Pd2 0.500 0.000 0.500
Pd3 0.500 0.500 0.000
Pd4 0.500 0.500 0.500
O1 0.239 0.754 0.754
O2 0.246 0.246 0.246
O3 0.246 0.246 0.761
O4 0.246 0.761 0.246
O5 0.754 0.239 0.754
O6 0.754 0.754 0.239
O7 0.754 0.754 0.754
O8 0.761 0.246 0.246

---

# 2
Theoretical X-ray diffraction stick pattern
Compound: Al5Au13
Radiation: copper Kα
Structure: a crystal structure in OQMD, relaxed with PBE
Peak positions follow from Bragg's law for the DFT cell and can differ from measured ones.

Main lines, most intense first (2θ = 10–90°):
2.341 Å, intensity 100.0
2.373 Å, intensity 97.4
2.159 Å, intensity 57.8
2.292 Å, intensity 43.8
3.021 Å, intensity 41.2
2.319 Å, intensity 30.4
2.114 Å, intensity 29.1
2.359 Å, intensity 27.8

Structural model:
a = 13.034 Å, b = 13.034 Å, c = 5.717 Å
α = 102.55°, β = 102.55°, γ = 19.07°
Element x y z (fractional)
Al1 0.000 0.000 0.000
Al2 0.107 0.107 0.573
Al3 0.324 0.324 0.959
Al4 0.676 0.676 0.041
Al5 0.893 0.893 0.427
Au1 0.000 0.000 0.500
Au2 0.109 0.109 0.104
Au3 0.211 0.211 0.835
Au4 0.222 0.222 0.337
Au5 0.340 0.340 0.507
Au6 0.424 0.424 0.232
Au7 0.459 0.459 0.764
Au8 0.541 0.541 0.236
Au9 0.576 0.576 0.768
Au10 0.660 0.660 0.493
Au11 0.778 0.778 0.663
Au12 0.789 0.789 0.165
Au13 0.891 0.891 0.896

---

# 3
Theoretical X-ray diffraction stick pattern
Compound: DyYB2As2Ir2
Radiation: copper Kα
Structure: a crystal structure in OQMD, relaxed with PBE
Peak positions follow from Bragg's law for the DFT cell and can differ from measured ones.

Main lines, most intense first (2θ = 10–90°):
2.354 Å, intensity 100.0
2.669 Å, intensity 98.5
8.655 Å, intensity 82.2
2.885 Å, intensity 51.4
1.984 Å, intensity 47.9
1.635 Å, intensity 38.4
1.205 Å, intensity 24.1
1.473 Å, intensity 21.0

Structural model:
a = 3.968 Å, b = 3.968 Å, c = 8.655 Å
α = 90.00°, β = 90.00°, γ = 90.00°
Element x y z (fractional)
Dy1 0.000 0.000 0.000
Y1 0.500 0.500 0.580
B1 0.000 0.000 0.395
B2 0.500 0.500 0.182
As1 0.000 0.000 0.645
As2 0.500 0.500 0.933
Ir1 0.000 0.500 0.289
Ir2 0.500 0.000 0.289

---

# 4
Theoretical X-ray diffraction stick pattern
Compound: Nb3SeBrCl6
Radiation: copper Kα
Structure: a crystal structure in OQMD, relaxed with PBE
Peak positions follow from Bragg's law for the DFT cell and can differ from measured ones.

Main lines, most intense first (2θ = 10–90°):
2.734 Å, intensity 100.0
6.525 Å, intensity 90.1
2.213 Å, intensity 60.6
6.023 Å, intensity 56.2
4.426 Å, intensity 29.7
1.763 Å, intensity 23.8
1.739 Å, intensity 23.7
2.149 Å, intensity 21.4

Structural model:
a = 6.954 Å, b = 6.954 Å, c = 6.525 Å
α = 90.00°, β = 90.00°, γ = 120.00°
Element x y z (fractional)
Nb1 0.195 0.390 0.000
Nb2 0.195 0.805 0.000
Nb3 0.610 0.805 0.000
Se1 0.333 0.667 0.293
Br1 0.000 0.000 0.764
Cl1 0.004 0.502 0.759
Cl2 0.331 0.165 0.200
Cl3 0.498 0.502 0.759
Cl4 0.498 0.996 0.759
Cl5 0.835 0.165 0.200
Cl6 0.835 0.669 0.200

---

# 5
Theoretical X-ray diffraction stick pattern
Compound: ZnH10C4N6Cl2O4
Radiation: copper Kα
Structure: a crystal structure in OQMD, relaxed with PBE
Peak positions follow from Bragg's law for the DFT cell and can differ from measured ones.

Main lines, most intense first (2θ = 10–90°):
2.979 Å, intensity 100.0
5.672 Å, intensity 76.1
6.397 Å, intensity 61.1
3.132 Å, intensity 60.0
5.335 Å, intensity 43.5
3.615 Å, intensity 43.1
2.297 Å, intensity 25.8
2.452 Å, intensity 17.7

Structural model:
a = 7.968 Å, b = 7.230 Å, c = 11.420 Å
α = 90.00°, β = 126.60°, γ = 90.00°
Element x y z (fractional)
Zn1 0.000 0.000 0.000
Zn2 0.000 0.500 0.500
H1 0.107 0.105 0.476
H2 0.107 0.395 0.976
H3 0.239 0.078 0.396
H4 0.239 0.422 0.896
H5 0.297 0.684 0.845
H6 0.297 0.816 0.345
H7 0.329 0.152 0.797
H8 0.329 0.348 0.297
H9 0.411 0.570 0.292
H10 0.411 0.930 0.792
H11 0.589 0.070 0.208
H12 0.589 0.430 0.708
H13 0.671 0.652 0.703
H14 0.671 0.848 0.203
H15 0.703 0.184 0.655
H16 0.703 0.316 0.155
H17 0.761 0.578 0.104
H18 0.761 0.922 0.604
H19 0.893 0.605 0.024
H20 0.893 0.895 0.524
C1 0.163 0.660 0.951
C2 0.163 0.840 0.451
C3 0.238 0.547 0.374
C4 0.238 0.953 0.874
C5 0.762 0.047 0.126
C6 0.762 0.453 0.626
C7 0.837 0.160 0.549
C8 0.837 0.340 0.049
N1 0.181 0.022 0.447
N2 0.181 0.478 0.947
N3 0.243 0.737 0.392
N4 0.243 0.763 0.892
N5 0.330 0.013 0.815
N6 0.330 0.487 0.315
N7 0.670 0.513 0.685
N8 0.670 0.987 0.185
N9 0.757 0.237 0.108
N10 0.757 0.263 0.608
N11 0.819 0.522 0.053
N12 0.819 0.978 0.553
Cl1 0.338 0.056 0.248
Cl2 0.338 0.444 0.748
Cl3 0.662 0.556 0.252
Cl4 0.662 0.944 0.752
O1 0.080 0.730 0.007
O2 0.080 0.770 0.507
O3 0.153 0.065 0.909
O4 0.153 0.435 0.409
O5 0.847 0.565 0.591
O6 0.847 0.935 0.091
O7 0.920 0.230 0.493
O8 0.920 0.270 0.993

---

# 6
Theoretical X-ray diffraction stick pattern
Compound: ScSnTeAuSe2
Radiation: copper Kα
Structure: a crystal structure in OQMD, relaxed with PBE
Peak positions follow from Bragg's law for the DFT cell and can differ from measured ones.

Main lines, most intense first (2θ = 10–90°):
2.646 Å, intensity 100.0
2.926 Å, intensity 69.2
5.370 Å, intensity 44.6
2.685 Å, intensity 39.3
7.074 Å, intensity 26.5
1.969 Å, intensity 25.5
1.755 Å, intensity 22.4
1.989 Å, intensity 21.9

Structural model:
a = 7.348 Å, b = 7.348 Å, c = 10.741 Å
α = 90.00°, β = 90.00°, γ = 148.58°
Element x y z (fractional)
Sc1 0.000 0.000 0.000
Sc2 0.000 0.000 0.500
Sn1 0.200 0.800 0.750
Sn2 0.800 0.200 0.250
Te1 0.103 0.897 0.250
Te2 0.897 0.103 0.750
Au1 0.466 0.534 0.250
Au2 0.534 0.466 0.750
Se1 0.367 0.633 0.044
Se2 0.367 0.633 0.456
Se3 0.633 0.367 0.544
Se4 0.633 0.367 0.956

---

# 7
Theoretical X-ray diffraction stick pattern
Compound: Gd3TlSn2Pb4
Radiation: copper Kα
Structure: a crystal structure in OQMD, relaxed with PBE
Peak positions follow from Bragg's law for the DFT cell and can differ from measured ones.

Main lines, most intense first (2θ = 10–90°):
2.782 Å, intensity 100.0
2.549 Å, intensity 17.2
2.367 Å, intensity 16.8
2.327 Å, intensity 16.1
1.434 Å, intensity 13.7
1.416 Å, intensity 13.1
1.659 Å, intensity 11.5
1.513 Å, intensity 11.3

Structural model:
a = 12.958 Å, b = 12.958 Å, c = 4.734 Å
α = 90.00°, β = 90.00°, γ = 159.31°
Element x y z (fractional)
Gd1 0.000 0.000 0.000
Gd2 0.186 0.814 0.000
Gd3 0.814 0.186 0.000
Tl1 0.500 0.500 0.500
Sn1 0.404 0.596 0.000
Sn2 0.596 0.404 0.000
Pb1 0.097 0.903 0.500
Pb2 0.294 0.706 0.500
Pb3 0.706 0.294 0.500
Pb4 0.903 0.097 0.500

---

# 8
Theoretical X-ray diffraction stick pattern
Compound: HoTmZn2Sn2
Radiation: copper Kα
Structure: a crystal structure in OQMD, relaxed with PBE
Peak positions follow from Bragg's law for the DFT cell and can differ from measured ones.

Main lines, most intense first (2θ = 10–90°):
2.759 Å, intensity 100.0
2.240 Å, intensity 59.6
1.739 Å, intensity 25.8
1.374 Å, intensity 23.7
1.476 Å, intensity 15.7
3.117 Å, intensity 15.7
1.942 Å, intensity 13.0
1.293 Å, intensity 10.3

Structural model:
a = 4.480 Å, b = 4.480 Å, c = 15.701 Å
α = 90.00°, β = 90.00°, γ = 120.00°
Element x y z (fractional)
Ho1 0.000 0.000 0.000
Ho2 0.000 0.000 0.500
Tm1 0.000 0.000 0.250
Tm2 0.000 0.000 0.750
Zn1 0.333 0.667 0.161
Zn2 0.333 0.667 0.339
Zn3 0.667 0.333 0.661
Zn4 0.667 0.333 0.839
Sn1 0.333 0.667 0.613
Sn2 0.333 0.667 0.887
Sn3 0.667 0.333 0.113
Sn4 0.667 0.333 0.387

---

# 9
Theoretical X-ray diffraction stick pattern
Compound: Nd3AlClF2
Radiation: copper Kα
Structure: a crystal structure in OQMD, relaxed with PBE
Peak positions follow from Bragg's law for the DFT cell and can differ from measured ones.

Main lines, most intense first (2θ = 10–90°):
3.228 Å, intensity 100.0
2.835 Å, intensity 95.8
1.963 Å, intensity 64.6
2.720 Å, intensity 42.7
3.926 Å, intensity 36.6
2.005 Å, intensity 34.5
1.614 Å, intensity 34.0
1.703 Å, intensity 33.9

Structural model:
a = 5.670 Å, b = 5.670 Å, c = 5.441 Å
α = 90.00°, β = 90.00°, γ = 90.00°
Element x y z (fractional)
Nd1 0.000 0.000 0.000
Nd2 0.000 0.500 0.500
Nd3 0.500 0.000 0.500
Al1 0.000 0.000 0.500
Cl1 0.500 0.500 0.500
F1 0.000 0.500 0.000
F2 0.500 0.000 0.000

---

# 10
Theoretical X-ray diffraction stick pattern
Compound: Li2ZrAlS4
Radiation: copper Kα
Structure: a crystal structure in OQMD, relaxed with PBE
Peak positions follow from Bragg's law for the DFT cell and can differ from measured ones.

Main lines, most intense first (2θ = 10–90°):
3.225 Å, intensity 100.0
5.009 Å, intensity 71.9
1.969 Å, intensity 43.2
1.692 Å, intensity 25.7
1.987 Å, intensity 22.3
2.451 Å, intensity 22.2
3.079 Å, intensity 20.7
1.670 Å, intensity 15.7

Structural model:
a = 5.621 Å, b = 5.621 Å, c = 11.038 Å
α = 90.00°, β = 90.00°, γ = 90.00°
Element x y z (fractional)
Li1 0.000 0.000 0.000
Li2 0.000 0.500 0.250
Li3 0.500 0.000 0.750
Li4 0.500 0.500 0.500
Zr1 0.000 0.500 0.750
Zr2 0.500 0.000 0.250
Al1 0.000 0.000 0.500
Al2 0.500 0.500 0.000
S1 0.233 0.762 0.382
S2 0.238 0.233 0.618
S3 0.262 0.267 0.118
S4 0.267 0.738 0.882
S5 0.733 0.262 0.882
S6 0.738 0.733 0.118
S7 0.762 0.767 0.618
S8 0.767 0.238 0.382

---

# 11
Theoretical X-ray diffraction stick pattern
Compound: CuAg4
Radiation: copper Kα
Structure: a crystal structure in OQMD, relaxed with PBE
Peak positions follow from Bragg's law for the DFT cell and can differ from measured ones.

Main lines, most intense first (2θ = 10–90°):
2.349 Å, intensity 100.0
2.062 Å, intensity 44.8
2.345 Å, intensity 32.7
1.979 Å, intensity 18.8
1.239 Å, intensity 15.4
1.238 Å, intensity 15.1
1.458 Å, intensity 13.6
1.429 Å, intensity 12.8

Structural model:
a = 6.290 Å, b = 6.290 Å, c = 9.593 Å
α = 100.13°, β = 100.13°, γ = 26.80°
Element x y z (fractional)
Cu1 0.049 0.049 0.148
Cu2 0.951 0.951 0.852
Ag1 0.148 0.148 0.451
Ag2 0.257 0.257 0.758
Ag3 0.360 0.360 0.045
Ag4 0.451 0.451 0.340
Ag5 0.549 0.549 0.660
Ag6 0.640 0.640 0.955
Ag7 0.743 0.743 0.242
Ag8 0.852 0.852 0.549

---

# 12
Theoretical X-ray diffraction stick pattern
Compound: KNaThF6
Radiation: copper Kα
Structure: a crystal structure in OQMD, relaxed with PBE
Peak positions follow from Bragg's law for the DFT cell and can differ from measured ones.

Main lines, most intense first (2θ = 10–90°):
4.357 Å, intensity 100.0
3.092 Å, intensity 89.4
2.179 Å, intensity 68.0
3.070 Å, intensity 66.2
7.603 Å, intensity 57.8
5.317 Å, intensity 54.1
1.777 Å, intensity 53.6
1.772 Å, intensity 24.5

Structural model:
a = 6.140 Å, b = 6.140 Å, c = 7.603 Å
α = 90.00°, β = 90.00°, γ = 120.00°
Element x y z (fractional)
K1 0.333 0.667 0.112
K2 0.667 0.333 0.888
Na1 0.000 0.000 0.260
Na2 0.000 0.000 0.740
Th1 0.333 0.667 0.630
Th2 0.667 0.333 0.370
F1 0.081 0.385 0.398
F2 0.104 0.377 0.838
F3 0.272 0.896 0.838
F4 0.303 0.919 0.398
F5 0.377 0.272 0.162
F6 0.385 0.303 0.602
F7 0.615 0.697 0.398
F8 0.623 0.728 0.838
F9 0.697 0.081 0.602
F10 0.728 0.104 0.162
F11 0.896 0.623 0.162
F12 0.919 0.615 0.602